The following is a calculated X-ray powder pattern of YSi2Ir2. It was derived from a DFT-relaxed cell (GGA-PBE, the Materials Project), using a wavelength of 1.5418 Å.
Peak positions follow from Bragg's law for the DFT cell and can differ from measured ones.

```
data_YSi2Ir2
_chemical_formula_sum 'Y2 Si4 Ir4'
_cell_length_a 4.086
_cell_length_b 4.086
_cell_length_c 9.992
_cell_angle_alpha 90.00
_cell_angle_beta 90.00
_cell_angle_gamma 90.00
_space_group_name_H-M_alt 'I 4/m m m'
_space_group_IT_number 139
_space_group_name_Hall '-I 4 2'
loop_
_atom_site_label
_atom_site_type_symbol
_atom_site_fract_x
_atom_site_fract_y
_atom_site_fract_z
Y1 Y 0.000 0.000 0.000
Si1 Si 0.000 0.000 0.379
Ir1 Ir 0.000 0.500 0.250
```

Main lines, in order of rising 2θ (2θ from 5° to 70°):
hkl 0 0 2, 2θ = 17.75°, d = 4.996 Å, I 42.4; hkl 1 1 2, 2θ = 35.91°, d = 2.501 Å, I 100.0; hkl 2 0 0, 2θ = 44.34°, d = 2.043 Å, I 29.0; hkl 1 1 4, 2θ = 48.14°, d = 1.890 Å, I 33.6; hkl 2 0 4, 2θ = 58.35°, d = 1.581 Å, I 16.0; hkl 2 2 0, 2θ = 64.56°, d = 1.444 Å, I 24.2

The following is a calculated X-ray powder pattern of ZrU4O10. It was derived from a DFT-relaxed cell (GGA-PBE, the Materials Project), using a wavelength of 1.5418 Å.
Peak positions follow from Bragg's law for the DFT cell and can differ from measured ones.

```
data_ZrU4O10
_chemical_formula_sum 'Zr2 U8 O20'
_cell_length_a 3.804
_cell_length_b 6.567
_cell_length_c 15.622
_cell_angle_alpha 86.11
_cell_angle_beta 83.03
_cell_angle_gamma 89.98
_space_group_name_H-M_alt 'P 1'
_space_group_IT_number 1
_space_group_name_Hall 'P 1'
loop_
_atom_site_label
_atom_site_type_symbol
_atom_site_fract_x
_atom_site_fract_y
_atom_site_fract_z
Zr1 Zr 0.000 0.000 0.000
Zr2 Zr 0.206 0.394 0.602
U1 U 0.100 0.696 0.800
U2 U 0.296 0.097 0.402
U3 U 0.397 0.798 0.199
U4 U 0.500 0.499 0.999
U5 U 0.602 0.195 0.800
U6 U 0.698 0.895 0.601
U7 U 0.796 0.594 0.403
U8 U 0.897 0.297 0.199
O1 O 0.025 0.681 0.952
O2 O 0.074 0.024 0.854
O3 O 0.131 0.369 0.746
O4 O 0.172 0.713 0.648
O5 O 0.223 0.077 0.554
O6 O 0.268 0.420 0.456
O7 O 0.322 0.770 0.352
O8 O 0.369 0.122 0.250
O9 O 0.423 0.473 0.148
O10 O 0.473 0.831 0.048
O11 O 0.524 0.165 0.952
O12 O 0.578 0.519 0.850
O13 O 0.624 0.871 0.750
O14 O 0.677 0.227 0.649
O15 O 0.719 0.561 0.554
O16 O 0.772 0.920 0.453
O17 O 0.820 0.271 0.351
O18 O 0.873 0.623 0.250
O19 O 0.924 0.973 0.145
O20 O 0.976 0.315 0.046
```

Main lines, in order of rising 2θ (2θ from 5° to 70°):
hkl 0 0 5, 2θ = 28.79°, d = 3.101 Å, I 100.0; hkl 0 2 2, 2θ = 28.86°, d = 3.094 Å, I 33.2; hkl 1 1 4, 2θ = 33.39°, d = 2.684 Å, I 47.3; hkl 1 3 1, 2θ = 47.94°, d = 1.898 Å, I 44.3; hkl 2 2 3, 2θ = 56.84°, d = 1.620 Å, I 31.0; hkl 1 3 6, 2θ = 56.96°, d = 1.617 Å, I 30.7

The following is a calculated X-ray powder pattern of Pr4Tm11S22. It was derived from a DFT-relaxed cell (GGA-PBE, the Materials Project), using a wavelength of 1.5418 Å.
Peak positions follow from Bragg's law for the DFT cell and can differ from measured ones.

```
data_Pr4Tm11S22
_chemical_formula_sum 'Pr8 Tm22 S44'
_cell_length_a 38.944
_cell_length_b 3.928
_cell_length_c 11.302
_cell_angle_alpha 90.00
_cell_angle_beta 91.46
_cell_angle_gamma 90.00
_space_group_name_H-M_alt 'C 1 2/m 1'
_space_group_IT_number 12
_space_group_name_Hall '-C 2y'
loop_
_atom_site_label
_atom_site_type_symbol
_atom_site_fract_x
_atom_site_fract_y
_atom_site_fract_z
Pr1 Pr 0.105 0.000 0.013
Pr2 Pr 0.133 0.500 0.651
Tm1 Tm 0.000 0.000 0.000
Tm2 Tm 0.038 0.500 0.729
Tm3 Tm 0.070 0.000 0.361
Tm4 Tm 0.158 0.500 0.301
Tm5 Tm 0.202 0.000 0.942
Tm6 Tm 0.237 0.500 0.648
S1 S 0.008 0.000 0.240
S2 S 0.047 0.500 0.969
S3 S 0.055 0.500 0.506
S4 S 0.087 0.000 0.753
S5 S 0.093 0.500 0.214
S6 S 0.135 0.000 0.452
S7 S 0.150 0.500 0.908
S8 S 0.169 0.000 0.152
S9 S 0.190 0.000 0.691
S10 S 0.220 0.500 0.411
S11 S 0.245 0.500 0.881
```

Main lines, in order of rising 2θ (2θ from 5° to 70°):
hkl 0 0 3, 2θ = 23.62°, d = 3.766 Å, I 79.5; hkl 10 0 1, 2θ = 24.37°, d = 3.652 Å, I 100.0; hkl 5 1 -1, 2θ = 26.52°, d = 3.360 Å, I 60.3; hkl 1 1 2, 2θ = 27.79°, d = 3.210 Å, I 62.0; hkl 9 1 -1, 2θ = 31.64°, d = 2.828 Å, I 63.1; hkl 11 1 3, 2θ = 42.29°, d = 2.137 Å, I 55.3

The following is a calculated X-ray powder pattern of NdScSi. It was derived from a DFT-relaxed cell (GGA-PBE, the Materials Project), using a wavelength of 1.5418 Å.
Peak positions follow from Bragg's law for the DFT cell and can differ from measured ones.

```
data_NdScSi
_chemical_formula_sum 'Nd4 Sc4 Si4'
_cell_length_a 4.653
_cell_length_b 4.653
_cell_length_c 14.150
_cell_angle_alpha 90.00
_cell_angle_beta 90.00
_cell_angle_gamma 90.00
_space_group_name_H-M_alt 'I 4/m m m'
_space_group_IT_number 139
_space_group_name_Hall '-I 4 2'
loop_
_atom_site_label
_atom_site_type_symbol
_atom_site_fract_x
_atom_site_fract_y
_atom_site_fract_z
Nd1 Nd 0.000 0.000 0.141
Sc1 Sc 0.000 0.000 0.389
Si1 Si 0.000 0.500 0.000
```

Main lines, in order of rising 2θ (2θ from 5° to 70°):
hkl 1 0 1, 2θ = 20.09°, d = 4.420 Å, I 36.1; hkl 0 0 4, 2θ = 25.17°, d = 3.538 Å, I 36.3; hkl 1 0 3, 2θ = 26.92°, d = 3.312 Å, I 63.8; hkl 1 1 0, 2θ = 27.10°, d = 3.290 Å, I 73.0; hkl 1 1 4, 2θ = 37.33°, d = 2.409 Å, I 100.0; hkl 2 0 0, 2θ = 38.71°, d = 2.326 Å, I 51.7